No. 1
Starting from a GGA-PBE-relaxed structure, the powder diffraction line list of La2Pr3Cd4 was calculated for copper Kα.

Structure:
Cell: 10.208 10.208 8.535 Å, 90.00 90.00 139.89°
Sites, in units of the cell vectors:
La1 0.091 0.909 0.906
La2 0.409 0.591 0.406
La3 0.591 0.409 0.594
La4 0.909 0.091 0.094
Pr1 0.000 0.000 0.500
Pr2 0.001 0.499 0.750
Pr3 0.499 0.001 0.250
Pr4 0.500 0.500 0.000
Pr5 0.501 0.999 0.750
Pr6 0.999 0.501 0.250
Cd1 0.161 0.839 0.508
Cd2 0.173 0.327 0.750
Cd3 0.327 0.173 0.250
Cd4 0.339 0.661 0.008
Cd5 0.661 0.339 0.992
Cd6 0.673 0.827 0.750
Cd7 0.827 0.673 0.250
Cd8 0.839 0.161 0.492

Most intense lines, 2θ from 10° to 90°, in order of rising 2θ:
2θ (°)	Rel. int.
27.95	24
28.52	58
29.10	34
32.84	23
33.10	100
35.08	52
36.76	42
38.13	29
52.28	21
58.29	44



No. 2
Starting from a GGA-PBE-relaxed structure, the powder diffraction line list of La5Pr4Cd2 was calculated for copper Kα.

Structure:
Cell: 8.871 3.625 11.609 Å, 90.00 95.86 90.00°
Sites, in units of the cell vectors:
La1 0.000 0.000 0.000
La2 0.046 0.000 0.298
La3 0.304 0.000 0.840
La4 0.696 0.000 0.160
La5 0.954 0.000 0.702
Pr1 0.246 0.500 0.551
Pr2 0.342 0.500 0.134
Pr3 0.658 0.500 0.866
Pr4 0.754 0.500 0.449
Cd1 0.439 0.000 0.370
Cd2 0.561 0.000 0.630

Most intense lines, 2θ from 10° to 90°, in order of rising 2θ:
2θ (°)	Rel. int.
30.33	100
30.59	61
31.37	51
31.61	64
31.95	48
32.39	70
33.41	44
33.97	34
34.68	40
61.13	32



No. 3
Starting from a GGA-PBE-relaxed structure, the powder diffraction line list of La4Pr2Cd was calculated for copper Kα.

Structure:
Cell: 17.267 3.633 8.862 Å, 90.00 117.19 90.00°
Sites, in units of the cell vectors:
La1 0.080 0.000 0.200
La2 0.128 0.500 0.882
La3 0.372 0.000 0.118
La4 0.420 0.500 0.800
La5 0.580 0.500 0.200
La6 0.628 0.000 0.882
La7 0.872 0.500 0.118
La8 0.920 0.000 0.800
Pr1 0.218 0.000 0.642
Pr2 0.282 0.500 0.358
Pr3 0.718 0.500 0.642
Pr4 0.782 0.000 0.358
Cd1 0.000 0.000 0.500
Cd2 0.500 0.500 0.500

Most intense lines, 2θ from 10° to 90°, in order of rising 2θ:
2θ (°)	Rel. int.
29.26	100
30.19	78
30.51	67
31.82	66
32.18	30
35.06	25
35.87	62
50.22	23
59.72	21
60.69	21



No. 4
Starting from a GGA-PBE-relaxed structure, the powder diffraction line list of La7PrCd4 was calculated for copper Kα.

Structure:
Cell: 6.516 6.821 8.924 Å, 103.76 91.74 94.99°
Sites, in units of the cell vectors:
La1 0.000 0.000 0.000
La2 0.166 0.706 0.620
La3 0.226 0.497 0.929
La4 0.333 0.186 0.581
La5 0.667 0.814 0.419
La6 0.774 0.503 0.071
La7 0.834 0.294 0.380
Pr1 0.500 0.000 0.000
Cd1 0.171 0.813 0.277
Cd2 0.328 0.386 0.270
Cd3 0.672 0.614 0.730
Cd4 0.829 0.187 0.723

Most intense lines, 2θ from 10° to 90°, in order of rising 2θ:
2θ (°)	Rel. int.
29.84	28
30.98	18
31.28	67
31.92	100
32.28	33
33.32	23
33.60	38
34.69	32
56.08	16
59.44	14



No. 5
Starting from a GGA-PBE-relaxed structure, the powder diffraction line list of La8Pr3Cd2 was calculated for copper Kα.

Structure:
Cell: 6.573 7.131 10.195 Å, 107.40 94.79 90.15°
Sites, in units of the cell vectors:
La1 0.032 0.380 0.153
La2 0.121 0.103 0.807
La3 0.370 0.816 0.352
La4 0.443 0.681 0.682
La5 0.557 0.319 0.318
La6 0.630 0.184 0.648
La7 0.879 0.897 0.193
La8 0.968 0.620 0.847
Pr1 0.092 0.265 0.504
Pr2 0.500 0.500 0.000
Pr3 0.908 0.735 0.496
Cd1 0.325 0.950 0.062
Cd2 0.675 0.050 0.938

Most intense lines, 2θ from 10° to 90°, in order of rising 2θ:
2θ (°)	Rel. int.
29.13	64
29.74	30
30.02	34
30.35	100
30.65	79
30.83	92
31.83	66
31.96	84
40.77	26
57.06	34



No. 6
Starting from a GGA-PBE-relaxed structure, the powder diffraction line list of La12Pr7Cd was calculated for copper Kα.

Structure:
Cell: 10.234 10.234 10.234 Å, 109.47 109.47 109.47°
Sites, in units of the cell vectors:
La1 0.002 0.242 0.759
La2 0.241 0.483 0.242
La3 0.241 0.998 0.758
La4 0.242 0.241 0.483
La5 0.242 0.759 0.002
La6 0.483 0.242 0.241
La7 0.517 0.758 0.759
La8 0.758 0.241 0.998
La9 0.758 0.759 0.517
La10 0.759 0.002 0.242
La11 0.759 0.517 0.758
La12 0.998 0.758 0.241
Pr1 0.000 0.000 0.500
Pr2 0.000 0.500 0.000
Pr3 0.000 0.500 0.500
Pr4 0.500 0.000 0.000
Pr5 0.500 0.000 0.500
Pr6 0.500 0.500 0.000
Pr7 0.500 0.500 0.500
Cd1 0.000 0.000 0.000

Most intense lines, 2θ from 10° to 90°, in order of rising 2θ:
2θ (°)	Rel. int.
14.99	23
21.27	20
26.12	67
30.25	100
33.93	13
43.31	73
51.28	29
53.74	25
71.39	31
79.46	23